# Na3NdTi2Nb2O12
Simulated powder diffraction line list, copper Kα. Input: the GGA-PBE geometry in Alexandria.

Top 12 peaks for 2θ from 5° to 70°, sorted by position:
- 2θ 11.30, I 271
- 2θ 19.47, I 291
- 2θ 19.67, I 275
- 2θ 31.90, I 367
- 2θ 32.23, I 1000
- 2θ 32.31, I 317
- 2θ 32.42, I 323
- 2θ 46.02, I 234
- 2θ 46.24, I 243
- 2θ 46.39, I 249
- 2θ 57.67, I 231
- 2θ 57.79, I 217

Structure:
a = 5.523 Å, b = 5.610 Å, c = 7.829 Å
α = 90.00°, β = 89.90°, γ = 89.74°
Element x y z (fractional)
Na (0.000, 0.000, 0.000)
Na (0.003, 0.042, 0.503)
Na (0.518, 0.529, 0.498)
Nd (0.518, 0.490, 0.000)
Ti (0.016, 0.517, 0.244)
Ti (0.499, 0.015, 0.752)
Nb (0.013, 0.526, 0.739)
Nb (0.501, 0.018, 0.263)
O (0.087, 0.569, 0.004)
O (0.220, 0.835, 0.287)
O (0.226, 0.838, 0.719)
O (0.307, 0.344, 0.268)
O (0.312, 0.342, 0.731)
O (0.447, 0.060, 0.998)
O (0.578, 0.046, 0.504)
O (0.717, 0.758, 0.789)
O (0.719, 0.754, 0.212)
O (0.795, 0.271, 0.797)
O (0.797, 0.273, 0.205)
O (0.954, 0.525, 0.497)